Diffraction record for TlHgF3. The X-ray diffraction stick pattern is simulated, not measured: it uses the PBE geometry in the Materials Project and Cu Kα (weighted mean of Kα1 and Kα2).
Neutral-atom scattering factors, no anomalous dispersion.

Most intense lines, 2θ from 15° to 90°, low angle first:
- 3.313 Å, 2θ = 26.9°, rel. 54, hkl 0 1 1
- 3.283 Å, 2θ = 27.2°, rel. 49, hkl 1 0 1
- 3.263 Å, 2θ = 27.3°, rel. 100, hkl 1 1 0
- 3.253 Å, 2θ = 27.4°, rel. 50, hkl 1 0 -1
- 3.228 Å, 2θ = 27.6°, rel. 48, hkl 0 1 -1
- 2.316 Å, 2θ = 38.9°, rel. 25, hkl 0 0 2
- 2.307 Å, 2θ = 39.0°, rel. 55, hkl 2 0 0
- 1.899 Å, 2θ = 47.9°, rel. 35, hkl -1 2 1
- 1.871 Å, 2θ = 48.7°, rel. 21, hkl 2 1 -1
- 1.868 Å, 2θ = 48.8°, rel. 22, hkl 1 2 -1

Crystal structure
```
data_TlHgF3
_chemical_formula_sum 'Tl1 Hg1 F3'
_symmetry_space_group_name_H-M 'P 1'
_symmetry_Int_Tables_number 1
_cell_length_a 4.612
_cell_length_b 4.618
_cell_length_c 4.634
_cell_angle_alpha 88.50
_cell_angle_beta 89.47
_cell_angle_gamma 89.85
loop_
_symmetry_equiv_pos_as_xyz
'x,y,z'
loop_
_atom_site_label
_atom_site_fract_x
_atom_site_fract_y
_atom_site_fract_z
Tl1 0.000 0.000 0.000
Hg1 0.476 0.532 0.452
F1 0.451 0.044 0.380
F2 0.465 0.600 0.938
F3 0.973 0.567 0.401
```